(1)
# Na14Co2O9
Calculated XRD peak list, Cu Kα (λ = 1.5418 Å). Input: a structure optimized by DFT (GGA+U).

Main lines, by intensity (10 to 80 degrees two-theta):
d (Å), two_theta, I_rel
4.912, 18.1, 100.0
1.917, 47.4, 96.4
2.715, 33.0, 87.1
1.922, 47.3, 84.6
2.752, 32.5, 66.3
2.123, 42.6, 52.2
3.138, 28.4, 25.9
1.310, 72.1, 20.4

Structural model:
abc: 6.6591 6.6591 9.3780
angles: 90.00 90.00 120.00
Space group P-3 (No. 147)
Inequivalent atoms, fractional coordinates:
Na1 0.0000 0.0000 0.2493
Na2 0.0354 0.6750 0.5922
Na3 0.0650 0.3769 0.9070
Co1 0.3333 0.6667 0.2379
O1 0.0000 0.0000 0.5000
O2 0.0581 0.3628 0.1637
O3 0.3333 0.6667 0.4558

=====

(2)
# Na3Co2O4
Calculated XRD peak list, Cu Kα (λ = 1.5418 Å). Input: a structure optimized by DFT (GGA+U).

Main lines, by intensity (10 to 80 degrees two-theta):
d (Å), two_theta, I_rel
4.665, 19.0, 100.0
3.786, 23.5, 60.8
1.935, 47.0, 51.7
4.065, 21.9, 47.3
1.920, 47.3, 41.5
2.447, 36.7, 41.3
2.271, 39.7, 36.3
2.848, 31.4, 31.7

Structural model:
abc: 5.6957 8.1300 10.4012
angles: 90.00 90.00 90.00
Space group Cmcm (No. 63)
Inequivalent atoms, fractional coordinates:
Na1 0.0000 0.1451 0.0654
Na2 0.0000 0.1869 0.7500
Co1 0.0000 0.4212 0.2500
Co2 0.0000 0.5000 0.0000
O1 0.2184 0.4175 0.1132

=====

(3)
# Na2CoO3
Calculated XRD peak list, Cu Kα (λ = 1.5418 Å). Input: a structure optimized by DFT (GGA+U).

Main lines, by intensity (10 to 80 degrees two-theta):
d (Å), two_theta, I_rel
3.715, 24.0, 100.0
2.818, 31.8, 79.2
2.626, 34.1, 74.8
5.252, 16.9, 67.2
2.438, 36.9, 40.2
1.986, 45.7, 25.0
1.857, 49.1, 17.3
2.557, 35.1, 16.8

Structural model:
abc: 5.6365 10.5044 11.1924
angles: 90.00 90.00 90.00
Space group Cmce (No. 64)
Inequivalent atoms, fractional coordinates:
Na1 0.0000 0.0368 0.1473
Na2 0.0000 0.1306 0.5772
Co1 0.0000 0.2490 0.8401
O1 0.0000 0.0856 0.3594
O2 0.0000 0.1610 0.9740
O3 0.2500 0.1843 0.7500

=====

(4)
# Na2CoO3
Calculated XRD peak list, Cu Kα (λ = 1.5418 Å). Input: a structure optimized by DFT (GGA+U).

Main lines, by intensity (10 to 80 degrees two-theta):
d (Å), two_theta, I_rel
2.177, 41.5, 100.0
5.358, 16.5, 75.0
2.208, 40.9, 54.0
2.486, 36.1, 29.8
1.598, 57.7, 28.8
1.506, 61.6, 25.8
2.679, 33.4, 21.2
4.332, 20.5, 15.9

Structural model:
abc: 5.2214 9.0232 5.6655
angles: 90.00 108.96 90.00
Space group C2/m (No. 12)
Inequivalent atoms, fractional coordinates:
Na1 0.0000 0.0000 0.0000
Na2 0.0000 0.1568 0.5000
Na3 0.0000 0.5000 0.5000
Co1 0.0000 0.3291 0.0000
O1 0.1878 0.5000 0.1978
O2 0.2479 0.3075 0.8025

=====

(5)
# Na8Co3O8
Calculated XRD peak list, Cu Kα (λ = 1.5418 Å). Input: a structure optimized by DFT (GGA+U).

Main lines, by intensity (10 to 80 degrees two-theta):
d (Å), two_theta, I_rel
3.963, 22.4, 100.0
2.350, 38.3, 84.6
3.596, 24.8, 50.6
2.675, 33.5, 47.8
2.795, 32.0, 44.6
2.358, 38.2, 27.1
4.230, 21.0, 17.5
2.486, 36.1, 17.3

Structural model:
abc: 17.6485 4.6985 7.4253
angles: 90.00 108.19 90.00
Space group C2/m (No. 12)
Inequivalent atoms, fractional coordinates:
Na1 0.0327 0.0000 0.2241
Na2 0.0997 0.5000 0.9327
Na3 0.1698 0.5000 0.4598
Na4 0.1768 0.0000 0.7592
Co1 0.0000 0.5000 0.5000
Co2 0.1935 0.0000 0.1966
O1 0.0263 0.5000 0.2947
O2 0.1069 0.0000 0.9919
O3 0.1761 0.0000 0.4194
O4 0.2056 0.5000 0.7986

=====

(6)
# Na12CoO7
Calculated XRD peak list, Cu Kα (λ = 1.5418 Å). Input: a structure optimized by DFT (GGA+U).

Main lines, by intensity (10 to 80 degrees two-theta):
d (Å), two_theta, I_rel
2.369, 38.0, 100.0
5.887, 15.0, 67.6
6.608, 13.4, 53.8
2.689, 33.3, 39.2
1.721, 53.2, 27.8
1.633, 56.4, 22.6
2.060, 43.9, 21.7
2.892, 30.9, 14.8

Structural model:
abc: 11.7738 11.7738 8.6768
angles: 90.00 90.00 120.00
Space group R-3 (No. 148, hexagonal axes)
Inequivalent atoms, fractional coordinates:
Na1 0.0309 0.5817 0.1399
Na2 0.0316 0.1486 0.8126
Co1 0.0000 0.0000 0.5000
O1 0.0000 0.0000 0.0000
O2 0.0284 0.1733 0.3518

=====

(7)
# Na7Co2O6
Calculated XRD peak list, Cu Kα (λ = 1.5418 Å). Input: a structure optimized by DFT (GGA+U).

Main lines, by intensity (10 to 80 degrees two-theta):
d (Å), two_theta, I_rel
2.546, 35.3, 100.0
2.534, 35.4, 94.6
2.416, 37.2, 83.6
3.549, 25.1, 51.4
3.704, 24.0, 47.1
2.620, 34.2, 45.3
1.972, 46.0, 42.4
1.660, 55.3, 37.6

Structural model:
abc: 14.7025 5.8246 10.6554
angles: 90.00 105.09 90.00
Space group C2/c (No. 15)
Inequivalent atoms, fractional coordinates:
Na1 0.0000 0.0717 0.2500
Na2 0.0600 0.3624 0.6510
Na3 0.1677 0.4063 0.4057
Na4 0.2236 0.0373 0.8055
Co1 0.1246 0.1163 0.0395
O1 0.0959 0.2312 0.8759
O2 0.1210 0.2726 0.1878
O3 0.1738 0.1706 0.5817

=====

(8)
# Na3Co5O10
Calculated XRD peak list, Cu Kα (λ = 1.5418 Å). Input: a structure optimized by DFT (GGA+U).

Main lines, by intensity (10 to 80 degrees two-theta):
d (Å), two_theta, I_rel
5.516, 16.1, 100.0
1.983, 45.8, 32.5
2.370, 38.0, 21.4
1.967, 46.1, 15.4
1.707, 53.7, 13.7
2.758, 32.5, 13.4
2.443, 36.8, 12.8
2.351, 38.3, 11.5

Structural model:
abc: 4.9132 14.2986 5.7634
angles: 90.00 106.84 90.00
Space group Cm (No. 8)
Inequivalent atoms, fractional coordinates:
Na1 0.0000 0.0000 0.0000
Na2 0.4794 0.3007 0.9993
Co1 0.1440 0.3997 0.4976
Co2 0.1481 0.0000 0.5106
Co3 0.1480 0.1999 0.5083
O1 0.0322 0.1005 0.6845
O2 0.0456 0.3013 0.6846
O3 0.0466 0.5000 0.6765
O4 0.2504 0.0998 0.3268
O5 0.2525 0.2992 0.3251
O6 0.2552 0.5000 0.3277

=====

(9)
# Na2Co2O3
Calculated XRD peak list, Cu Kα (λ = 1.5418 Å). Input: a structure optimized by DFT (GGA+U).

Main lines, by intensity (10 to 80 degrees two-theta):
d (Å), two_theta, I_rel
5.694, 15.6, 100.0
2.705, 33.1, 94.3
2.093, 43.2, 57.7
1.687, 54.4, 49.4
2.231, 40.4, 35.9
3.097, 28.8, 35.8
3.735, 23.8, 35.2
2.845, 31.4, 34.1

Structural model:
abc: 12.6019 11.0765 5.6921
angles: 90.00 115.35 90.00
Space group C2/c (No. 15)
Inequivalent atoms, fractional coordinates:
Na1 0.0000 0.0733 0.2500
Na2 0.0000 0.2122 0.7500
Na3 0.0887 0.4082 0.6010
Co1 0.1799 0.2333 0.2505
Co2 0.2117 0.0694 0.8044
O1 0.1205 0.3849 0.0493
O2 0.1423 0.0745 0.0648
O3 0.1449 0.2127 0.5590

=====

(10)
# Na2Co3O6
Calculated XRD peak list, Cu Kα (λ = 1.5418 Å). Input: a structure optimized by DFT (GGA+U).

Main lines, by intensity (10 to 80 degrees two-theta):
d (Å), two_theta, I_rel
2.909, 30.7, 100.0
5.547, 16.0, 99.2
3.417, 26.1, 69.4
1.837, 49.6, 45.0
2.178, 41.5, 33.2
1.713, 53.5, 25.4
1.531, 60.5, 23.7
2.078, 43.6, 18.1

Structural model:
abc: 6.8336 8.0858 11.0937
angles: 90.00 90.00 90.00
Space group Amm2 (No. 38)
Inequivalent atoms, fractional coordinates:
Na1 0.0000 0.0000 0.0000
Na2 0.0000 0.1701 0.4954
Na3 0.5000 0.0000 0.4687
Co1 0.2396 0.0000 0.2311
Co2 0.2414 0.1688 0.7348
O1 0.2201 0.1704 0.1222
O2 0.2341 0.0000 0.8418
O3 0.2363 0.0000 0.6233
O4 0.2488 0.1657 0.3446